NaNdY4S8: computed powder XRD pattern (Cu Kα, 1.54184 Å), based on the PBE geometry in Alexandria.
Kinematic intensities with the Lorentz-polarization factor, no thermal factor.

Crystal structure
Cell: 8.206 8.206 8.206 Å, 59.33 59.33 59.33°
Element x y z (fractional)
Na: 0.000 0.000 0.000
Nd: 0.631 0.631 0.631
Y: 0.113 0.631 0.631
Y: 0.252 0.252 0.252
Y: 0.631 0.113 0.631
Y: 0.631 0.631 0.113
S: 0.380 0.380 0.855
S: 0.380 0.855 0.380
S: 0.385 0.385 0.385
S: 0.408 0.870 0.870
S: 0.855 0.380 0.380
S: 0.865 0.865 0.865
S: 0.870 0.408 0.870
S: 0.870 0.870 0.408

Top 6 peaks for 2θ = 10–90°, by angle:
2theta	I/Imax
13.33	61
25.42	41
25.63	100
30.98	81
44.15	55
44.62	55